K2V8O21: theoretical powder diffraction line list (Cu Kα, 1.54184 Å), based on DFT lattice parameters and positions (GGA+U).
No peak broadening, texture or thermal motion is included.

Top 10 peaks for 2θ = 5–70°, sorted by position:
| 2θ/deg | d/Å | Rel. int. |
| --- | --- | --- |
| 5.9 | 15.088 | 48 |
| 11.5 | 7.675 | 41 |
| 11.7 | 7.544 | 23 |
| 13.0 | 6.789 | 26 |
| 25.9 | 3.443 | 100 |
| 27.9 | 3.195 | 21 |
| 29.6 | 3.020 | 44 |
| 30.8 | 2.899 | 32 |
| 42.3 | 2.136 | 21 |
| 50.3 | 1.816 | 27 |

Structure:
```
K2V8O21
1.0
7.6760 -1.8156 0.0000
7.6760 1.8156 0.0000
-0.2862 0.0000 15.0876
K V O
2 8 21
Cartesian
0.3160 0.0000 4.7056
14.7497 0.0000 10.3820
2.8726 0.0000 1.0702
4.6845 0.0000 4.0688
4.9380 0.0000 7.2241
6.2565 0.0000 1.1248
8.8092 0.0000 13.9628
10.1276 0.0000 7.8635
10.3812 0.0000 11.0188
12.1931 0.0000 14.0174
1.6947 0.0000 2.1786
1.5232 0.0000 14.3726
2.3004 0.0000 11.1579
3.0542 0.0000 7.9428
3.1828 0.0000 4.6926
4.3717 0.0000 2.1107
4.4177 0.0000 14.5833
5.8026 0.0000 5.6827
6.0752 0.0000 8.4011
6.9308 0.0000 2.6273
7.6760 0.0000 0.0000
8.1349 0.0000 12.4603
8.9905 0.0000 6.6865
9.2631 0.0000 9.4049
10.6480 0.0000 0.5043
10.6940 0.0000 12.9769
11.8829 0.0000 10.3950
12.0115 0.0000 7.1448
12.7653 0.0000 3.9297
13.5425 0.0000 0.7150
13.3710 0.0000 12.9090
```